Entry 1:
The following is a computed X-ray diffraction stick pattern of ThAl8Cr4. It was derived from a PBE-relaxed structure, using λ = 1.5418 Å (Cu Kα).
Neutral-atom scattering factors, no anomalous dispersion.

Unit cell a=9.016 b=9.016 c=5.026 alpha=90.00 beta=90.00 gamma=90.00
Space group I4/mmm (No. 139)
One atom of each set of equivalent atoms:
Th 0.000 0.000 0.000 (multiplicity 2)
Al 0.000 0.224 0.500 (multiplicity 8)
Al 0.000 0.345 0.000 (multiplicity 8)
Cr 0.250 0.250 0.250 (multiplicity 8)

The 10 most intense peaks (2θ = 10–80°), in order of rising 2θ:
d/Å, intensity, h k l
6.375, 86, 1 1 0
4.390, 80, 1 0 1
3.188, 50, 2 2 0
3.145, 100, 2 1 1
2.851, 44, 3 1 0
2.579, 58, 3 0 1
2.254, 66, 4 0 0
2.239, 95, 3 2 1
2.195, 90, 2 0 2
1.573, 37, 4 2 2

Entry 2:
The following is a computed X-ray diffraction stick pattern of Ti4Al3Cr. It was derived from a PBE-relaxed structure, using λ = 1.5418 Å (Cu Kα).
Neutral-atom scattering factors, no anomalous dispersion.

Unit cell a=3.043 b=3.043 c=13.583 alpha=90.00 beta=90.00 gamma=90.00
Space group P4/mmm (No. 123)
One atom of each set of equivalent atoms:
Ti 0.000 0.000 0.102 (multiplicity 2)
Ti 0.000 0.000 0.365 (multiplicity 2)
Al 0.500 0.500 0.235 (multiplicity 2)
Al 0.500 0.500 0.500 (multiplicity 1)
Cr 0.500 0.500 0.000 (multiplicity 1)

The 10 most intense peaks (2θ = 10–80°), in order of rising 2θ:
d/Å, intensity, h k l
6.792, 8, 0 0 2
4.528, 6, 0 0 3
2.266, 100, 1 0 4
2.152, 49, 1 1 0
2.027, 8, 1 0 5
1.942, 4, 0 0 7
1.698, 6, 0 0 8
1.522, 15, 2 0 0
1.333, 10, 1 1 8
1.263, 26, 2 1 4

Entry 3:
The following is a computed X-ray diffraction stick pattern of TmAl6Cr6. It was derived from a PBE-relaxed structure, using λ = 1.5418 Å (Cu Kα).
Neutral-atom scattering factors, no anomalous dispersion.

Unit cell a=5.048 b=8.679 c=8.791 alpha=90.00 beta=90.00 gamma=90.00
Space group Immm (No. 71)
One atom of each set of equivalent atoms:
Tm 0.000 0.000 0.000 (multiplicity 2)
Al 0.000 0.000 0.332 (multiplicity 4)
Al 0.000 0.308 0.500 (multiplicity 4)
Al 0.000 0.345 0.000 (multiplicity 4)
Cr 0.000 0.500 0.259 (multiplicity 4)
Cr 0.250 0.250 0.250 (multiplicity 8)

The 10 most intense peaks (2θ = 10–80°), in order of rising 2θ:
d/Å, intensity, h k l
6.176, 52, 0 1 1
4.381, 28, 1 0 1
3.094, 64, 1 1 2
3.082, 27, 1 2 1
2.198, 35, 0 0 4
2.189, 56, 2 0 2
2.181, 100, 2 2 0
2.170, 27, 0 4 0
1.549, 23, 2 2 4
1.545, 21, 0 4 4

Entry 4:
The following is a computed X-ray diffraction stick pattern of Al3V12Cr. It was derived from a PBE-relaxed structure, using λ = 1.5418 Å (Cu Kα).
Neutral-atom scattering factors, no anomalous dispersion.

Unit cell a=4.766 b=4.804 c=9.546 alpha=90.00 beta=90.00 gamma=90.00
Space group Pmmm (No. 47)
One atom of each set of equivalent atoms:
Al 0.000 0.000 0.000 (multiplicity 1)
Al 0.500 0.500 0.250 (multiplicity 2)
V 0.000 0.243 0.258 (multiplicity 4)
V 0.243 0.500 0.500 (multiplicity 2)
V 0.251 0.500 0.000 (multiplicity 2)
V 0.500 0.000 0.128 (multiplicity 2)
V 0.500 0.000 0.380 (multiplicity 2)
Cr 0.000 0.000 0.500 (multiplicity 1)

The 10 most intense peaks (2θ = 10–80°), in order of rising 2θ:
d/Å, intensity, h k l
2.402, 16, 0 2 0
2.385, 31, 2 0 0
2.145, 64, 0 2 2
2.135, 100, 2 1 0
2.132, 27, 2 0 2
1.957, 33, 1 2 2
1.949, 66, 1 1 4
1.380, 17, 2 2 4
1.281, 15, 2 3 2
1.275, 15, 3 1 4

Entry 5:
The following is a computed X-ray diffraction stick pattern of AlV3Cr3. It was derived from a PBE-relaxed structure, using λ = 1.5418 Å (Cu Kα).
Neutral-atom scattering factors, no anomalous dispersion.

Unit cell a=6.6155 b=6.6155 c=15.0835 alpha=90.00 beta=90.00 gamma=120.00
Space group R-3 (No. 148, hexagonal axes)
One atom of each set of equivalent atoms:
Al 0.0000 0.0000 0.1436 (multiplicity 6)
V 0.0576 0.2694 0.7124 (multiplicity 18)
Cr 0.0011 0.7732 0.4390 (multiplicity 18)

The 10 most intense peaks (2θ = 10–80°), in order of rising 2θ:
d/Å, intensity, h k l
5.356, 34, 1 0 1
3.308, 16, 1 1 0
2.763, 14, 2 -1 3
2.281, 25, 0 2 4
2.143, 100, 2 1 1
2.081, 61, 3 -2 2
2.017, 26, 1 0 7
2.001, 59, 2 -1 6
1.759, 21, 3 -2 5
1.250, 13, 1 4 0

Entry 6:
The following is a computed X-ray diffraction stick pattern of Al5VCr. It was derived from a PBE-relaxed structure, using λ = 1.5418 Å (Cu Kα).
Neutral-atom scattering factors, no anomalous dispersion.

Unit cell a=4.992 b=9.071 c=9.281 alpha=90.00 beta=90.00 gamma=90.00
Space group Cccm (No. 66)
One atom of each set of equivalent atoms:
Al 0.000 0.000 0.250 (multiplicity 4)
Al 0.240 0.451 0.000 (multiplicity 8)
Al 0.250 0.250 0.198 (multiplicity 8)
V 0.250 0.250 0.500 (multiplicity 4)
Cr 0.000 0.500 0.250 (multiplicity 4)

The 10 most intense peaks (2θ = 10–80°), in order of rising 2θ:
d/Å, intensity, h k l
2.526, 69, 1 1 3
2.492, 77, 2 0 0
2.320, 86, 0 0 4
2.268, 83, 0 4 0
2.198, 73, 2 0 2
2.187, 71, 2 2 0
1.984, 100, 1 3 3
1.978, 73, 2 2 2
1.622, 35, 0 4 4
1.315, 26, 2 0 6

Entry 7:
The following is a computed X-ray diffraction stick pattern of Al2V2Cr. It was derived from a PBE-relaxed structure, using λ = 1.5418 Å (Cu Kα).
Neutral-atom scattering factors, no anomalous dispersion.

Unit cell a=13.704 b=4.136 c=5.212 alpha=90.00 beta=112.03 gamma=90.00
Space group C2/m (No. 12)
One atom of each set of equivalent atoms:
Al 0.007 0.000 0.260 (multiplicity 4)
Al 0.201 0.000 0.044 (multiplicity 4)
V 0.098 0.500 0.625 (multiplicity 4)
V 0.102 0.500 0.147 (multiplicity 4)
Cr 0.214 0.000 0.554 (multiplicity 4)

The 10 most intense peaks (2θ = 10–80°), in order of rising 2θ:
d/Å, intensity, h k l
4.825, 16, 0 0 1
3.933, 15, 1 1 0
2.171, 100, 3 1 -2
2.165, 96, 5 1 0
2.068, 44, 0 2 0
2.020, 39, 2 0 2
1.639, 17, 8 0 -2
1.445, 24, 2 2 2
1.284, 14, 8 2 -2
1.213, 13, 3 3 -2

Entry 8:
The following is a computed X-ray diffraction stick pattern of AlV5Cr2. It was derived from a PBE-relaxed structure, using λ = 1.5418 Å (Cu Kα).
Neutral-atom scattering factors, no anomalous dispersion.

Unit cell a=6.139 b=6.139 c=11.715 alpha=90.00 beta=90.00 gamma=90.00
Space group I4/mcm (No. 140)
One atom of each set of equivalent atoms:
Al 0.000 0.000 0.250 (multiplicity 4)
V 0.000 0.000 0.000 (multiplicity 4)
V 0.159 0.341 0.152 (multiplicity 16)
Cr 0.157 0.343 0.500 (multiplicity 8)

The 10 most intense peaks (2θ = 10–80°), in order of rising 2θ:
d/Å, intensity, h k l
5.857, 12, 0 0 2
2.428, 10, 1 1 4
2.246, 100, 2 1 3
2.170, 7, 2 2 0
2.119, 8, 2 0 4
1.952, 13, 0 0 6
1.941, 34, 3 1 0
1.782, 6, 2 1 5
1.391, 12, 4 1 3
1.377, 10, 3 1 6

Entry 9:
The following is a computed X-ray diffraction stick pattern of AlV5Cr4. It was derived from a PBE-relaxed structure, using λ = 1.5418 Å (Cu Kα).
Neutral-atom scattering factors, no anomalous dispersion.

Unit cell a=2.959 b=2.959 c=14.622 alpha=90.00 beta=90.00 gamma=90.00
Space group P4/mmm (No. 123)
One atom of each set of equivalent atoms:
Al 0.000 0.000 0.000 (multiplicity 1)
V 0.500 0.500 0.113 (multiplicity 2)
V 0.500 0.500 0.304 (multiplicity 2)
V 0.500 0.500 0.500 (multiplicity 1)
Cr 0.000 0.000 0.201 (multiplicity 2)
Cr 0.000 0.000 0.401 (multiplicity 2)

The 10 most intense peaks (2θ = 10–80°), in order of rising 2θ:
d/Å, intensity, h k l
7.311, 4, 0 0 2
4.874, 2, 0 0 3
3.656, 1, 0 0 4
2.093, 53, 1 1 0
2.080, 100, 1 0 5
1.881, 2, 1 0 6
1.707, 1, 1 0 7
1.480, 16, 2 0 0
1.462, 6, 0 0 10
1.206, 28, 2 1 5